For LiMn5O3F5, a crystal structure in Alexandria, relaxed with GGA+U gives the calculated powder diffraction line list in this record (CuKα).
Neutral-atom scattering factors, no anomalous dispersion.

Main lines, by angle (2θ = 10–90°):
two_theta	I_rel	index
16.9	51.6	1 0 1
17.0	32.9	0 0 3
32.6	100.0	0 2 1
32.8	30.9	0 1 5
39.7	74.7	0 2 4
52.2	38.6	1 2 5
57.2	41.0	2 2 0
57.5	34.4	2 0 8

Structure:
```
data_LiMn5O3F5
_chemical_formula_sum 'Li3 Mn15 O9 F15'
_symmetry_space_group_name_H-M 'R 3 m'
_symmetry_Int_Tables_number 160
_symmetry_space_group_name_Hall 'R 3 -2"'
_cell_length_a 6.4464
_cell_length_b 6.4464
_cell_length_c 15.6600
_cell_angle_alpha 90.00
_cell_angle_beta 90.00
_cell_angle_gamma 120.00
loop_
_atom_site_label
_atom_site_fract_x
_atom_site_fract_y
_atom_site_fract_z
_atom_site_occupancy
Li1 0.0000 0.0000 0.0000 1
Mn1 0.0000 0.0000 0.3866 1
Mn2 0.0000 0.0000 0.7704 1
Mn3 0.1703 0.3407 0.2054 1
O1 0.0241 0.5121 0.1352 1
F1 0.0000 0.0000 0.1302 1
F2 0.0000 0.0000 0.6286 1
F3 0.1799 0.3598 0.9575 1
```